Starting from a GGA-PBE-relaxed structure, the powder X-ray diffraction pattern of YCr3S was calculated for Cu Kα (weighted mean of Kα1 and Kα2).
Neutral-atom scattering factors, no anomalous dispersion.

Top 8 peaks for 10 to 80 degrees two-theta, most intense first:
hkl 1 1 1, 2θ = 35.73°, I 100; hkl 2 0 0, 2θ = 41.49°, I 81; hkl 2 2 0, 2θ = 60.12°, I 49; hkl 3 1 1, 2θ = 71.94°, I 33; hkl 1 1 0, 2θ = 29.01°, I 27; hkl 2 2 2, 2θ = 75.69°, I 16; hkl 2 1 1, 2θ = 51.42°, I 10; hkl 3 1 0, 2θ = 68.12°, I 5

a b c (Å): 4.353 4.353 4.353
angles (deg): 90.00 90.00 90.00
Space group Pm-3m (No. 221)
Symmetry-distinct sites (fractional):
Y 0.000 0.000 0.000
Cr 0.000 0.500 0.500
S 0.500 0.500 0.500

***

Starting from a GGA-PBE-relaxed structure, the powder X-ray diffraction pattern of Zn3CrS4 was calculated for Cu Kα (weighted mean of Kα1 and Kα2).
Neutral-atom scattering factors, no anomalous dispersion.

Top 10 peaks for 10 to 80 degrees two-theta, most intense first:
hkl 1 1 1, 2θ = 28.29°, I 100; hkl 2 2 0, 2θ = 47.03°, I 61; hkl 3 1 1, 2θ = 55.79°, I 40; hkl 3 3 1, 2θ = 75.89°, I 15; hkl 2 0 0, 2θ = 32.78°, I 10; hkl 4 0 0, 2θ = 68.71°, I 9; hkl 4 2 0, 2θ = 78.23°, I 3; hkl 2 2 2, 2θ = 58.51°, I 3; hkl 1 0 0, 2θ = 16.22°, I 1; hkl 1 1 0, 2θ = 23.02°, I 1

a b c (Å): 5.465 5.465 5.465
angles (deg): 90.00 90.00 90.00
Space group P-43m (No. 215)
Symmetry-distinct sites (fractional):
Zn 0.000 0.000 0.500
Cr 0.500 0.500 0.500
S 0.249 0.249 0.751